The following is a theoretical X-ray powder pattern of Sr2SnSbRh. It was derived from a DFT-relaxed cell (PBE, Alexandria), using copper Kα.

Principal peaks in the range 2θ = 15–90°, in order of falling intensity:
3.078 Å, 2θ = 29.01°, I = 100
3.250 Å, 2θ = 27.44°, I = 67
1.914 Å, 2θ = 47.51°, I = 51
2.176 Å, 2θ = 41.50°, I = 38
1.625 Å, 2θ = 56.64°, I = 30
2.444 Å, 2θ = 36.78°, I = 27
4.352 Å, 2θ = 20.40°, I = 25
1.808 Å, 2θ = 50.47°, I = 25
3.827 Å, 2θ = 23.24°, I = 23
1.199 Å, 2θ = 80.01°, I = 23
1.376 Å, 2θ = 68.13°, I = 17
1.302 Å, 2θ = 72.61°, I = 14

Crystal structure
a = 6.1552 Å, b = 6.1552 Å, c = 4.8870 Å
α = 90.00°, β = 90.00°, γ = 90.00°
Space group P4/mmm (No. 123)
One atom of each set of equivalent atoms:
Sr 0.0000 0.5000 0.0000 [2 per cell]
Sn 0.0000 0.0000 0.5000 [1 per cell]
Sb 0.5000 0.5000 0.0000 [1 per cell]
Rh 0.5000 0.5000 0.5000 [1 per cell]